The following is a calculated powder diffractogram of ErZn9Ni2. It was derived from DFT lattice parameters and positions (GGA-PBE), using Cu Kα, 1.54184 Å.
Lines closer than 0.1° are merged.

Principal peaks in the range 10° ≤ 2θ ≤ 90°, by intensity:
| d (Å) | Position (°2θ) | I/Imax |
| --- | --- | --- |
| 2.344 | 38.40 | 100 |
| 2.315 | 38.90 | 70 |
| 1.979 | 45.86 | 42 |
| 2.640 | 33.95 | 37 |
| 2.188 | 41.26 | 32 |
| 1.342 | 70.11 | 28 |
| 1.906 | 47.71 | 27 |
| 1.571 | 58.78 | 20 |
| 2.050 | 44.18 | 14 |
| 3.052 | 29.26 | 14 |

Crystal structure
```
data_ErZn9Ni2
_chemical_formula_sum 'Er2 Zn18 Ni4'
_cell_length_a 8.0546
_cell_length_b 8.0546
_cell_length_c 8.0546
_cell_angle_alpha 100.01
_cell_angle_beta 100.01
_cell_angle_gamma 130.72
_symmetry_space_group_name_H-M 'P 1'
_symmetry_Int_Tables_number 1
_symmetry_space_group_name_Hall 'P 1'
loop_
_atom_site_label
_atom_site_type_symbol
_atom_site_fract_x
_atom_site_fract_y
_atom_site_fract_z
_atom_site_occupancy
Er1 Er 0.3750 0.6250 0.7500 1
Er2 Er 0.6250 0.3750 0.2500 1
Zn1 Zn 0.1250 0.8750 0.2500 1
Zn2 Zn 0.1360 0.5620 0.3315 1
Zn3 Zn 0.1360 0.8044 0.5739 1
Zn4 Zn 0.1956 0.2695 0.3315 1
Zn5 Zn 0.1956 0.8640 0.9261 1
Zn6 Zn 0.2695 0.1956 0.8315 1
Zn7 Zn 0.2695 0.4380 0.0739 1
Zn8 Zn 0.4380 0.2695 0.5739 1
Zn9 Zn 0.4380 0.8640 0.1685 1
Zn10 Zn 0.5620 0.1360 0.8315 1
Zn11 Zn 0.5620 0.7305 0.4261 1
Zn12 Zn 0.7305 0.5620 0.9261 1
Zn13 Zn 0.7305 0.8044 0.1685 1
Zn14 Zn 0.8044 0.1360 0.0739 1
Zn15 Zn 0.8044 0.7305 0.6685 1
Zn16 Zn 0.8640 0.1956 0.4261 1
Zn17 Zn 0.8640 0.4380 0.6685 1
Zn18 Zn 0.8750 0.1250 0.7500 1
Ni1 Ni 0.0000 0.0000 0.0000 1
Ni2 Ni 0.0000 0.0000 0.5000 1
Ni3 Ni 0.0000 0.5000 0.0000 1
Ni4 Ni 0.5000 0.0000 0.5000 1
```